# Sr2Tc3O10
Computed powder diffractogram, CuKα. Input: a crystal structure in Alexandria, relaxed with GGA-PBE.
Peak positions follow from Bragg's law for the DFT cell and can differ from measured ones.

Largest 10 diffraction maxima, low angle first, 10 to 90 degrees two-theta:
| 2θ (°) | Rel. int. | (hkl) |
| --- | --- | --- |
| 24.5 | 19 | 0 0 2 |
| 27.8 | 58 | 1 1 -2 |
| 28.1 | 100 | 4 0 1 |
| 28.7 | 40 | 5 1 -1 |
| 28.9 | 51 | 6 0 -1 |
| 31.2 | 30 | 0 2 0 |
| 43.0 | 26 | 6 2 -1 |
| 53.6 | 26 | 10 0 0 |
| 56.6 | 18 | 4 2 -4 |
| 56.9 | 18 | 11 1 -2 |

Cell and atoms:
```
data_Sr2Tc3O10
_cell_length_a 18.5648
_cell_length_b 5.7392
_cell_length_c 7.8921
_cell_angle_alpha 90.00
_cell_angle_beta 112.99
_cell_angle_gamma 90.00
_symmetry_space_group_name_H-M 'C 1 2/m 1'
_symmetry_Int_Tables_number 12
_symmetry_space_group_name_Hall '-C 2y'
loop_
_atom_site_label
_atom_site_fract_x
_atom_site_fract_y
_atom_site_fract_z
Sr1 0.0993 0.0000 0.2281
Sr2 0.1969 0.0000 0.8057
Tc1 0.0000 0.2713 0.5000
Tc2 0.0860 0.5000 0.9935
Tc3 0.1869 0.5000 0.5293
O1 0.0000 0.2844 0.0000
O2 0.0200 0.0000 0.6679
O3 0.0292 0.5000 0.7097
O4 0.1092 0.2659 0.5239
O5 0.1334 0.5000 0.2503
O6 0.1409 0.2507 0.9757
O7 0.2345 0.5000 0.7795
O8 0.2500 0.2500 0.5000
```

# SrTcO6
Computed powder diffractogram, CuKα. Input: a crystal structure in Alexandria, relaxed with GGA-PBE.
Peak positions follow from Bragg's law for the DFT cell and can differ from measured ones.

Largest 10 diffraction maxima, low angle first, 10 to 90 degrees two-theta:
| 2θ (°) | Rel. int. | (hkl) |
| --- | --- | --- |
| 20.2 | 100 | 2 0 0 |
| 28.7 | 41 | 2 2 0 |
| 41.1 | 22 | 4 0 0 |
| 46.2 | 37 | 4 2 0 |
| 50.9 | 15 | 4 2 2 |
| 59.5 | 12 | 4 4 0 |
| 63.5 | 17 | 6 0 0 |
| 67.4 | 9 | 6 2 0 |
| 78.5 | 9 | 6 4 0 |
| 82.1 | 10 | 6 4 2 |

Cell and atoms:
```
data_SrTcO6
_cell_length_a 8.7874
_cell_length_b 8.7874
_cell_length_c 8.7874
_cell_angle_alpha 90.00
_cell_angle_beta 90.00
_cell_angle_gamma 90.00
_symmetry_space_group_name_H-M 'F m -3 m'
_symmetry_Int_Tables_number 225
_symmetry_space_group_name_Hall '-F 4 2 3'
loop_
_atom_site_label
_atom_site_fract_x
_atom_site_fract_y
_atom_site_fract_z
Sr1 0.0000 0.0000 0.0000
Tc1 0.0000 0.0000 0.5000
O1 0.0000 0.0000 0.2877
```

# SrTc2O6
Computed powder diffractogram, CuKα. Input: a crystal structure in Alexandria, relaxed with GGA-PBE.
Peak positions follow from Bragg's law for the DFT cell and can differ from measured ones.

Largest 10 diffraction maxima, low angle first, 10 to 90 degrees two-theta:
| 2θ (°) | Rel. int. | (hkl) |
| --- | --- | --- |
| 16.9 | 78 | 2 0 0 |
| 25.4 | 100 | 1 1 1 |
| 26.0 | 87 | 2 2 0 |
| 26.2 | 84 | 3 1 -1 |
| 33.6 | 36 | 2 0 -2 |
| 34.2 | 83 | 1 3 -1 |
| 38.7 | 36 | 3 3 -1 |
| 43.6 | 29 | 4 2 -2 |
| 47.8 | 27 | 2 0 2 |
| 49.6 | 61 | 5 3 -1 |

Cell and atoms:
```
data_SrTc2O6
_cell_length_a 11.6014
_cell_length_b 9.0338
_cell_length_c 5.3310
_cell_angle_alpha 90.00
_cell_angle_beta 115.26
_cell_angle_gamma 90.00
_symmetry_space_group_name_H-M 'C 1 2/c 1'
_symmetry_Int_Tables_number 15
_symmetry_space_group_name_Hall '-C 2yc'
loop_
_atom_site_label
_atom_site_fract_x
_atom_site_fract_y
_atom_site_fract_z
Sr1 0.0000 0.2004 0.2500
Tc1 0.2378 0.4226 0.9660
O1 0.1408 0.0240 0.6491
O2 0.1442 0.4251 0.5512
O3 0.1585 0.2617 0.0460
```

# SrTc2O8
Computed powder diffractogram, CuKα. Input: a crystal structure in Alexandria, relaxed with GGA-PBE.
Peak positions follow from Bragg's law for the DFT cell and can differ from measured ones.

Largest 10 diffraction maxima, low angle first, 10 to 90 degrees two-theta:
| 2θ (°) | Rel. int. | (hkl) |
| --- | --- | --- |
| 20.7 | 91 | 1 1 1 |
| 24.4 | 52 | 1 -1 0 |
| 24.7 | 100 | 1 0 -1 |
| 31.5 | 15 | 0 1 2 |
| 31.6 | 21 | 1 0 2 |
| 32.0 | 21 | 0 2 1 |
| 32.4 | 13 | 2 0 1 |
| 33.4 | 18 | 2 1 0 |
| 43.1 | 21 | -2 1 1 |
| 50.6 | 22 | 2 0 -2 |

Cell and atoms:
```
data_SrTc2O8
_cell_length_a 5.8864
_cell_length_b 5.9468
_cell_length_c 6.1602
_cell_angle_alpha 73.29
_cell_angle_beta 73.64
_cell_angle_gamma 76.20
_symmetry_space_group_name_H-M 'P -1'
_symmetry_Int_Tables_number 2
_symmetry_space_group_name_Hall '-P 1'
loop_
_atom_site_label
_atom_site_fract_x
_atom_site_fract_y
_atom_site_fract_z
Sr1 0.0000 0.0000 0.0000
Tc1 0.3353 0.3319 0.3289
O1 0.1990 0.1909 0.2005
O2 0.2067 0.6317 0.2926
O3 0.2992 0.1998 0.6255
O4 0.3593 0.6923 0.8013
```

# SrTcO3
Computed powder diffractogram, CuKα. Input: a crystal structure in Alexandria, relaxed with GGA-PBE.
Peak positions follow from Bragg's law for the DFT cell and can differ from measured ones.

Largest 10 diffraction maxima, low angle first, 10 to 90 degrees two-theta:
| 2θ (°) | Rel. int. | (hkl) |
| --- | --- | --- |
| 16.8 | 38 | 1 1 0 |
| 25.7 | 100 | 1 1 -1 |
| 26.5 | 72 | 3 1 0 |
| 28.5 | 31 | 1 1 1 |
| 30.6 | 54 | 0 2 0 |
| 31.5 | 26 | 4 0 -1 |
| 37.4 | 36 | 3 1 1 |
| 43.2 | 19 | 0 0 2 |
| 44.5 | 58 | 4 2 -1 |
| 54.2 | 22 | 7 1 0 |

Cell and atoms:
```
data_SrTcO3
_cell_length_a 12.7467
_cell_length_b 5.8362
_cell_length_c 4.3176
_cell_angle_alpha 90.00
_cell_angle_beta 104.06
_cell_angle_gamma 90.00
_symmetry_space_group_name_H-M 'C 1 2/m 1'
_symmetry_Int_Tables_number 12
_symmetry_space_group_name_Hall '-C 2y'
loop_
_atom_site_label
_atom_site_fract_x
_atom_site_fract_y
_atom_site_fract_z
Sr1 0.1584 0.0000 0.1963
Tc1 0.0660 0.5000 0.7265
O1 0.0000 0.2873 0.0000
O2 0.1564 0.2608 0.6823
```

# Sr6Tc3O14
Computed powder diffractogram, CuKα. Input: a crystal structure in Alexandria, relaxed with GGA-PBE.
Peak positions follow from Bragg's law for the DFT cell and can differ from measured ones.

Largest 10 diffraction maxima, low angle first, 10 to 90 degrees two-theta:
| 2θ (°) | Rel. int. | (hkl) |
| --- | --- | --- |
| 20.0 | 27 | 1 1 0 |
| 25.9 | 37 | 2 -1 1 |
| 28.4 | 100 | 0 2 1 |
| 32.9 | 15 | 0 0 2 |
| 35.0 | 23 | 3 0 0 |
| 38.8 | 19 | 3 0 1 |
| 40.6 | 37 | 2 2 0 |
| 45.6 | 30 | 3 1 1 |
| 54.6 | 33 | 4 1 0 |
| 77.4 | 25 | 2 5 0 |

Cell and atoms:
```
data_Sr6Tc3O14
_cell_length_a 8.8889
_cell_length_b 8.8889
_cell_length_c 5.4458
_cell_angle_alpha 90.00
_cell_angle_beta 90.00
_cell_angle_gamma 120.00
_symmetry_space_group_name_H-M 'P 3'
_symmetry_Int_Tables_number 143
_symmetry_space_group_name_Hall 'P 3'
loop_
_atom_site_label
_atom_site_fract_x
_atom_site_fract_y
_atom_site_fract_z
Sr1 0.0107 0.5603 0.0000
Sr2 0.2914 0.0793 0.5278
Tc1 0.0000 0.0000 0.9767
Tc2 0.3333 0.6667 0.4385
Tc3 0.6667 0.3333 0.3596
O1 0.0000 0.0000 0.3136
O2 0.0607 0.8520 0.8216
O3 0.1975 0.4535 0.2968
O4 0.3333 0.6667 0.7741
O5 0.4585 0.1994 0.1487
O6 0.5298 0.4048 0.5643
```